Th2Co2H7: simulated powder diffractogram (Cu Kα (weighted mean of Kα1 and Kα2)), based on DFT lattice parameters and positions (GGA-PBE).

Main lines, in order of rising 2θ (2θ = 10–90°):
two_theta	d/Å	intensity
20.3	4.377	46
24.9	3.575	30
27.6	3.233	26
32.3	2.769	100
33.1	2.709	46
34.5	2.601	79
39.1	2.303	21
41.3	2.189	23
41.5	2.174	26
57.2	1.610	23

Structure:
Unit cell a=5.489 b=5.489 c=3.663 alpha=97.54 beta=97.54 gamma=105.77
Positions (direct):
Th  0.231  0.769  0.000
Th  0.769  0.231  0.000
Co  0.287  0.287  0.486
Co  0.713  0.713  0.514
H  0.000  0.000  0.500
H  0.053  0.379  0.596
H  0.379  0.053  0.596
H  0.460  0.460  0.231
H  0.540  0.540  0.769
H  0.621  0.947  0.404
H  0.947  0.621  0.404

***

Nd7AlSn5: simulated powder diffractogram (Cu Kα (weighted mean of Kα1 and Kα2)), based on DFT lattice parameters and positions (GGA-PBE).

Main lines, in order of rising 2θ (2θ = 10–90°):
two_theta	d/Å	intensity
27.1	3.290	33
31.8	2.817	70
32.2	2.777	33
32.7	2.739	28
32.9	2.726	38
35.2	2.552	54
36.3	2.475	100
36.7	2.447	31
55.9	1.645	33
60.9	1.521	22

Structure:
Unit cell a=8.551 b=8.551 c=8.551 alpha=136.52 beta=95.02 gamma=100.77
Positions (direct):
Nd  0.000  0.000  0.000
Nd  0.288  0.616  0.673
Nd  0.399  0.399  0.000
Nd  0.438  0.098  0.340
Nd  0.758  0.098  0.660
Nd  0.841  0.341  0.500
Nd  0.943  0.616  0.327
Al  0.699  0.699  0.000
Sn  0.102  0.110  0.489
Sn  0.102  0.613  0.993
Sn  0.349  0.849  0.500
Sn  0.620  0.110  0.007
Sn  0.620  0.613  0.511

***

ZrSe3: simulated powder diffractogram (Cu Kα (weighted mean of Kα1 and Kα2)), based on DFT lattice parameters and positions (GGA-PBE).

Main lines, in order of rising 2θ (2θ = 10–90°):
two_theta	d/Å	intensity
17.8	4.985	18
28.0	3.184	13
28.6	3.119	100
35.4	2.536	36
36.4	2.467	18
41.8	2.161	12
43.1	2.100	24
46.6	1.951	17
49.0	1.857	26
59.8	1.546	15

Structure:
Unit cell a=5.186 b=3.901 c=5.400 alpha=90.00 beta=106.00 gamma=90.00
Positions (direct):
Zr  0.000  0.000  0.000
Se  0.165  0.500  0.376
Se  0.500  0.000  0.000
Se  0.835  0.500  0.624